Theoretical PXRD pattern of Li2TbIO6 for Cu Kα, 1.54184 Å, from a PBE-relaxed structure.

The 6 most intense peaks (2θ = 10–90°), by angle:
two_theta, I (rel.), h k l
22.84, 100.0, 0 1 2
30.56, 44.1, 1 0 4
34.39, 25.4, 1 1 0
46.66, 16.5, 0 2 4
49.93, 30.7, 1 1 6
55.11, 16.0, 1 2 2

Cell and atoms:
a b c (Å): 5.2155 5.2155 15.3536
angles (deg): 90.00 90.00 120.00
Space group R-3 (No. 148, hexagonal axes)
Symmetry-distinct sites (fractional):
Li  0.0000  0.0000  0.1987
Tb  0.0000  0.0000  0.0000
I  0.0000  0.0000  0.5000
O  0.0219  0.6432  0.2367